Starting from a structure optimized by DFT (PBE+U), the powder diffractogram of Na4ZrMo4O16 was calculated for λ = 1.5418 Å (Cu Kα).

Structure:
```
data_Na4ZrMo4O16
_space_group_name_H-M_alt 'I 41/a'
_space_group_IT_number 88
_cell_length_a 11.272
_cell_length_b 11.272
_cell_length_c 11.790
_cell_angle_alpha 90.00
_cell_angle_beta 90.00
_cell_angle_gamma 90.00
loop_
_space_group_symop_operation_xyz
'x,y,z'
'-x,-y,-z'
'-y+3/4,x+1/4,z+1/4'
'y+3/4,-x+1/4,-z+1/4'
'-x+1/2,-y,z+1/2'
'x+1/2,y,-z+1/2'
'y+3/4,-x+3/4,z+3/4'
'-y+3/4,x+3/4,-z+3/4'
'x+1/2,y+1/2,z+1/2'
'-x+1/2,-y+1/2,-z+1/2'
'-y+1/4,x+3/4,z+3/4'
'y+1/4,-x+3/4,-z+3/4'
'-x,-y+1/2,z'
'x,y+1/2,-z'
'y+1/4,-x+1/4,z+1/4'
'-y+1/4,x+1/4,-z+1/4'
loop_
_atom_site_label
_atom_site_type_symbol
_atom_site_fract_x
_atom_site_fract_y
_atom_site_fract_z
Na1 Na 0.114 0.025 0.347
Zr1 Zr 0.000 0.250 0.125
Mo1 Mo 0.085 0.070 0.876
O1 O 0.045 0.400 0.798
O2 O 0.057 0.360 0.274
O3 O 0.079 0.420 0.060
O4 O 0.173 0.456 0.469
```

Principal peaks in the range 5 to 70 degrees two-theta, in order of rising 2θ:
8.147 Å, intensity 74, (1 0 1)
4.635 Å, intensity 36, (2 1 1)
3.580 Å, intensity 27, (3 0 1)
3.099 Å, intensity 20, (2 1 3)
3.050 Å, intensity 100, (1 3 2)
1.916 Å, intensity 29, (4 2 4)
1.721 Å, intensity 15, (1 3 6)
1.539 Å, intensity 18, (7 1 2)